For TlTe3Au3, a DFT-relaxed cell (PBE, Alexandria) gives the calculated XRD peak list in this record (Cu Kα).

Crystal structure
```
TlTe3Au3
1.0
7.7519 0.0000 0.0000
0.0000 7.7519 0.0000
0.0000 0.0000 7.7519
Tl Te Au
2 6 6
Cartesian
0.0000 0.0000 0.0000
3.8759 3.8759 3.8759
0.0000 1.9380 3.8759
0.0000 5.8139 3.8759
1.9380 3.8759 0.0000
3.8759 0.0000 1.9380
3.8759 0.0000 5.8139
5.8139 3.8759 0.0000
0.0000 3.8759 1.9380
0.0000 3.8759 5.8139
1.9380 0.0000 3.8759
3.8759 1.9380 0.0000
3.8759 5.8139 0.0000
5.8139 0.0000 3.8759
```

Top 10 peaks for 2θ from 15° to 90°, low angle first:
(hkl), two_theta, d/Å, I_rel
2 0 0, 22.9, 3.876, 41
2 1 1, 28.2, 3.165, 100
2 2 2, 40.3, 2.238, 28
3 2 1, 43.7, 2.072, 62
4 0 0, 46.9, 1.938, 32
4 2 0, 52.8, 1.733, 18
3 3 2, 55.6, 1.653, 15
5 2 1, 66.0, 1.415, 18
4 4 0, 68.5, 1.370, 21
6 1 1, 75.6, 1.258, 19